(1)
# V5Cr2C5
Theoretical powder diffraction line list, Cu Ka. Input: a structure optimized by DFT (PBE).
Neutral-atom scattering factors, no anomalous dispersion.

Cell lengths 6.9324, 6.9324, 4.9190 Å; angles 90.00, 90.00, 90.00 degrees
Space group I4mm (No. 107)
Symmetry-distinct sites (fractional):
V (0.0000, 0.0000, 0.0000)
V (0.1967, 0.1967, 0.4864)
Cr (0.0000, 0.5000, 0.3791)
C (0.0000, 0.0000, 0.6037)
C (0.0000, 0.2812, 0.1460)

Peak list (6 most intense, 10° ≤ 2θ ≤ 90°, in order of rising 2θ)
- 2θ = 34.2°, d = 2.623 Å, rel. 54
- 2θ = 36.5°, d = 2.459 Å, rel. 54
- 2θ = 36.7°, d = 2.451 Å, rel. 100
- 2θ = 41.1°, d = 2.198 Å, rel. 36
- 2θ = 43.3°, d = 2.092 Å, rel. 99
- 2θ = 52.8°, d = 1.735 Å, rel. 87


(2)
# Cr3W3C
Theoretical powder diffraction line list, Cu Ka. Input: a structure optimized by DFT (PBE).
Neutral-atom scattering factors, no anomalous dispersion.

Cell lengths 11.2521, 11.2521, 11.2521 Å; angles 90.00, 90.00, 90.00 degrees
Space group Fd-3m (No. 227, origin choice 2)
Symmetry-distinct sites (fractional):
Cr (0.0000, 0.0000, 0.0000)
Cr (0.0451, 0.0451, 0.2049)
W (0.0687, 0.3750, 0.8750)
C (0.0000, 0.0000, 0.5000)

Peak list (6 most intense, 10° ≤ 2θ ≤ 90°, in order of rising 2θ)
- 2θ = 31.8°, d = 2.813 Å, rel. 30
- 2θ = 34.8°, d = 2.581 Å, rel. 33
- 2θ = 39.2°, d = 2.297 Å, rel. 59
- 2θ = 41.7°, d = 2.165 Å, rel. 100
- 2θ = 45.6°, d = 1.989 Å, rel. 29
- 2θ = 71.1°, d = 1.326 Å, rel. 50


(3)
# Cr3W20C6
Theoretical powder diffraction line list, Cu Ka. Input: a structure optimized by DFT (PBE).
Neutral-atom scattering factors, no anomalous dispersion.

Cell lengths 11.6026, 11.6026, 11.6026 Å; angles 90.00, 90.00, 90.00 degrees
Space group Fm-3m (No. 225)
Symmetry-distinct sites (fractional):
Cr (0.0000, 0.0000, 0.0000)
Cr (0.2500, 0.2500, 0.2500)
W (0.0000, 0.1678, 0.1678)
W (0.1195, 0.1195, 0.3805)
C (0.0000, 0.0000, 0.2789)

Peak list (6 most intense, 10° ≤ 2θ ≤ 90°, in order of rising 2θ)
- 2θ = 30.8°, d = 2.901 Å, rel. 19
- 2θ = 34.6°, d = 2.594 Å, rel. 18
- 2θ = 40.4°, d = 2.233 Å, rel. 100
- 2θ = 46.3°, d = 1.961 Å, rel. 40
- 2θ = 47.0°, d = 1.934 Å, rel. 21
- 2θ = 68.6°, d = 1.367 Å, rel. 19


(4)
# CsC8
Theoretical powder diffraction line list, Cu Ka. Input: a structure optimized by DFT (PBE).
Neutral-atom scattering factors, no anomalous dispersion.

Cell lengths 4.9828, 4.9828, 6.0324 Å; angles 90.00, 90.00, 120.00 degrees
Space group P6/mmm (No. 191)
Symmetry-distinct sites (fractional):
Cs (0.0000, 0.0000, 0.0000)
C (0.1667, 0.3334, 0.5000)
C (0.3333, 0.6667, 0.5000)

Peak list (6 most intense, 10° ≤ 2θ ≤ 90°, in order of rising 2θ)
- 2θ = 20.6°, d = 4.315 Å, rel. 83
- 2θ = 25.4°, d = 3.510 Å, rel. 100
- 2θ = 29.6°, d = 3.016 Å, rel. 32
- 2θ = 36.3°, d = 2.472 Å, rel. 38
- 2θ = 39.1°, d = 2.303 Å, rel. 31
- 2θ = 44.6°, d = 2.032 Å, rel. 36


(5)
# CsCuC2
Theoretical powder diffraction line list, Cu Ka. Input: a structure optimized by DFT (PBE).
Neutral-atom scattering factors, no anomalous dispersion.

Cell lengths 4.9472, 4.9472, 9.3625 Å; angles 90.00, 90.00, 90.00 degrees
Space group P4_2/mmc (No. 131)
Symmetry-distinct sites (fractional):
Cs (0.0000, 0.0000, 0.2500)
Cu (0.5000, 0.5000, 0.0000)
C (0.1270, 0.5000, 0.0000)

Peak list (6 most intense, 10° ≤ 2θ ≤ 90°, in order of rising 2θ)
- 2θ = 25.5°, d = 3.498 Å, rel. 44
- 2θ = 26.2°, d = 3.400 Å, rel. 100
- 2θ = 36.3°, d = 2.474 Å, rel. 22
- 2θ = 45.3°, d = 2.000 Å, rel. 40
- 2θ = 46.7°, d = 1.945 Å, rel. 17
- 2θ = 53.9°, d = 1.700 Å, rel. 14


(6)
# Cs2Cu3C3N7
Theoretical powder diffraction line list, Cu Ka. Input: a structure optimized by DFT (PBE).
Neutral-atom scattering factors, no anomalous dispersion.

Cell lengths 16.7670, 7.8413, 9.0377 Å; angles 90.00, 94.30, 90.00 degrees
Space group C2/c (No. 15)
Symmetry-distinct sites (fractional):
Cs (0.1167, 0.1680, 0.0675)
Cu (0.0000, 0.4431, 0.7500)
Cu (0.2012, 0.3264, 0.6029)
C (0.0000, 0.2044, 0.7500)
C (0.2259, 0.1452, 0.7321)
N (0.0000, 0.0536, 0.7500)
N (0.0746, 0.4341, 0.3702)
N (0.1185, 0.3827, 0.4660)
N (0.2486, 0.0365, 0.8165)

Peak list (6 most intense, 10° ≤ 2θ ≤ 90°, in order of rising 2θ)
- 2θ = 21.4°, d = 4.160 Å, rel. 100
- 2θ = 23.1°, d = 3.850 Å, rel. 84
- 2θ = 26.7°, d = 3.339 Å, rel. 90
- 2θ = 27.3°, d = 3.267 Å, rel. 93
- 2θ = 28.0°, d = 3.186 Å, rel. 90
- 2θ = 31.3°, d = 2.853 Å, rel. 93


(7)
# Cs2NaCF6
Theoretical powder diffraction line list, Cu Ka. Input: a structure optimized by DFT (PBE).
Neutral-atom scattering factors, no anomalous dispersion.

Cell lengths 6.1208, 6.1208, 8.6488 Å; angles 90.00, 90.00, 90.00 degrees
Space group I4/mmm (No. 139)
Symmetry-distinct sites (fractional):
Cs (0.0000, 0.5000, 0.2500)
Na (0.0000, 0.0000, 0.0000)
C (0.0000, 0.0000, 0.5000)
F (0.0000, 0.0000, 0.2916)
F (0.2081, 0.2081, 0.5000)

Peak list (6 most intense, 10° ≤ 2θ ≤ 90°, in order of rising 2θ)
- 2θ = 20.5°, d = 4.327 Å, rel. 51
- 2θ = 29.2°, d = 3.060 Å, rel. 100
- 2θ = 35.9°, d = 2.498 Å, rel. 57
- 2θ = 41.8°, d = 2.163 Å, rel. 40
- 2θ = 47.0°, d = 1.935 Å, rel. 31
- 2θ = 51.8°, d = 1.766 Å, rel. 34


(8)
# CsCOF3
Theoretical powder diffraction line list, Cu Ka. Input: a structure optimized by DFT (PBE).
Neutral-atom scattering factors, no anomalous dispersion.

Cell lengths 6.0646, 7.8768, 9.5992 Å; angles 90.00, 90.87, 90.00 degrees
Space group P2_1/c (No. 14)
Symmetry-distinct sites (fractional):
Cs (0.2319, 0.1585, 0.1788)
C (0.2346, 0.7053, 0.0678)
O (0.0676, 0.7085, 0.5841)
F (0.2586, 0.6228, 0.9366)
F (0.2715, 0.5685, 0.1654)
F (0.4454, 0.7041, 0.5803)

Peak list (6 most intense, 10° ≤ 2θ ≤ 90°, in order of rising 2θ)
- 2θ = 18.5°, d = 4.803 Å, rel. 80
- 2θ = 23.5°, d = 3.791 Å, rel. 67
- 2θ = 23.8°, d = 3.736 Å, rel. 89
- 2θ = 24.4°, d = 3.644 Å, rel. 100
- 2θ = 26.1°, d = 3.416 Å, rel. 76
- 2θ = 38.5°, d = 2.339 Å, rel. 88


(9)
# CsCSO3F3
Theoretical powder diffraction line list, Cu Ka. Input: a structure optimized by DFT (PBE).
Neutral-atom scattering factors, no anomalous dispersion.

Cell lengths 5.5797, 6.1963, 9.9717 Å; angles 90.00, 104.41, 90.00 degrees
Space group P2_1 (No. 4)
Symmetry-distinct sites (fractional):
Cs (0.0539, 0.0000, 0.1646)
C (0.3557, 0.9152, 0.6363)
S (0.4120, 0.0359, 0.8134)
O (0.1871, 0.9818, 0.8567)
O (0.3641, 0.4251, 0.1112)
O (0.4415, 0.2655, 0.7884)
F (0.1594, 0.0083, 0.5463)
F (0.3080, 0.6997, 0.6407)
F (0.4430, 0.4385, 0.4159)

Peak list (6 most intense, 10° ≤ 2θ ≤ 90°, in order of rising 2θ)
- 2θ = 22.0°, d = 4.033 Å, rel. 85
- 2θ = 25.3°, d = 3.524 Å, rel. 100
- 2θ = 25.8°, d = 3.448 Å, rel. 80
- 2θ = 27.7°, d = 3.220 Å, rel. 61
- 2θ = 28.8°, d = 3.098 Å, rel. 53
- 2θ = 40.4°, d = 2.233 Å, rel. 45


(10)
# Cs2MgFeC6N6
Theoretical powder diffraction line list, Cu Ka. Input: a structure optimized by DFT (PBE).
Neutral-atom scattering factors, no anomalous dispersion.

Cell lengths 10.4716, 10.4716, 10.4716 Å; angles 90.00, 90.00, 90.00 degrees
Space group Fm-3m (No. 225)
Symmetry-distinct sites (fractional):
Cs (0.2500, 0.2500, 0.2500)
Mg (0.0000, 0.0000, 0.0000)
Fe (0.0000, 0.0000, 0.5000)
C (0.0000, 0.0000, 0.3203)
N (0.0000, 0.0000, 0.2075)

Peak list (6 most intense, 10° ≤ 2θ ≤ 90°, in order of rising 2θ)
- 2θ = 24.0°, d = 3.702 Å, rel. 100
- 2θ = 29.6°, d = 3.023 Å, rel. 33
- 2θ = 34.3°, d = 2.618 Å, rel. 40
- 2θ = 42.3°, d = 2.138 Å, rel. 35
- 2θ = 55.5°, d = 1.656 Å, rel. 26
- 2θ = 66.9°, d = 1.399 Å, rel. 25


(11)
# Cs2NaFeC6N6
Theoretical powder diffraction line list, Cu Ka. Input: a structure optimized by DFT (PBE).
Neutral-atom scattering factors, no anomalous dispersion.

Cell lengths 7.6242, 7.8311, 13.2973 Å; angles 90.00, 124.83, 90.00 degrees
Space group P2_1/c (No. 14)
Symmetry-distinct sites (fractional):
Cs (0.2377, 0.0471, 0.2502)
Na (0.0000, 0.0000, 0.5000)
Fe (0.5000, 0.0000, 0.0000)
C (0.2769, 0.1430, 0.9772)
C (0.3305, 0.6972, 0.4731)
C (0.3775, 0.0101, 0.8285)
N (0.1383, 0.2308, 0.9621)
N (0.2250, 0.6816, 0.9555)
N (0.3018, 0.0182, 0.7228)

Peak list (6 most intense, 10° ≤ 2θ ≤ 90°, in order of rising 2θ)
- 2θ = 16.2°, d = 5.461 Å, rel. 21
- 2θ = 22.7°, d = 3.916 Å, rel. 22
- 2θ = 23.0°, d = 3.861 Å, rel. 100
- 2θ = 23.3°, d = 3.812 Å, rel. 25
- 2θ = 28.6°, d = 3.125 Å, rel. 22
- 2θ = 32.8°, d = 2.730 Å, rel. 50